For Tb3Pm2Pb2, a cell relaxed with GGA-PBE gives the simulated PXRD pattern in this record (Cu Kα).
Peak positions follow from Bragg's law for the DFT cell and can differ from measured ones.

The 8 most intense peaks (2θ from 5° to 70°), in order of falling intensity:
(4 0 1), 30.77°, intensity 100; (1 1 -2), 33.71°, intensity 99; (6 0 -2), 33.14°, intensity 94; (5 1 -1), 36.72°, intensity 68; (1 1 1), 29.54°, intensity 36; (3 1 -1), 30.06°, intensity 34; (7 1 -4), 55.90°, intensity 33; (1 1 -1), 27.33°, intensity 33

Atomic structure:
```
data_Tb3Pm2Pb2
_chemical_formula_sum 'Tb6 Pm4 Pb4'
_space_group_name_H-M_alt 'C 1 2/m 1'
_space_group_IT_number 12
_space_group_name_Hall '-C 2y'
_cell_length_a 16.851
_cell_length_b 3.560
_cell_length_c 8.172
_cell_angle_alpha 90.00
_cell_angle_beta 115.58
_cell_angle_gamma 90.00
loop_
_atom_site_label
_atom_site_fract_x
_atom_site_fract_y
_atom_site_fract_z
Tb1 0.000 0.000 0.000
Tb2 0.213 0.000 0.140
Pm1 0.127 0.000 0.474
Pb1 0.077 0.500 0.765
```


For TbPm3Pb, a cell relaxed with GGA-PBE gives the simulated PXRD pattern in this record (Cu Kα).
Peak positions follow from Bragg's law for the DFT cell and can differ from measured ones.

The 8 most intense peaks (2θ from 5° to 70°), in order of falling intensity:
(2 2 -2), 29.91°, intensity 100; (1 3 0), 32.86°, intensity 88; (0 2 2), 29.66°, intensity 68; (3 1 -2), 31.43°, intensity 68; (1 1 2), 30.99°, intensity 63; (3 1 0), 36.28°, intensity 42; (1 1 -3), 29.78°, intensity 34; (2 2 0), 30.86°, intensity 32

Atomic structure:
```
data_TbPm3Pb
_chemical_formula_sum 'Tb4 Pm12 Pb4'
_space_group_name_H-M_alt 'P 1 21/c 1'
_space_group_IT_number 14
_space_group_name_Hall '-P 2ybc'
_cell_length_a 9.091
_cell_length_b 8.736
_cell_length_c 9.764
_cell_angle_alpha 90.00
_cell_angle_beta 121.59
_cell_angle_gamma 90.00
loop_
_atom_site_label
_atom_site_fract_x
_atom_site_fract_y
_atom_site_fract_z
Tb1 0.224 0.064 0.438
Pm1 0.086 0.698 0.546
Pm2 0.209 0.063 0.791
Pm3 0.415 0.084 0.206
Pb1 0.404 0.749 0.954
```


For TbPm8Pb2, a cell relaxed with GGA-PBE gives the simulated PXRD pattern in this record (Cu Kα).
Peak positions follow from Bragg's law for the DFT cell and can differ from measured ones.

The 8 most intense peaks (2θ from 5° to 70°), in order of falling intensity:
(2 0 2), 30.73°, intensity 100; (2 2 1), 31.84°, intensity 97; (3 1 -2), 33.62°, intensity 73; (4 2 0), 33.82°, intensity 63; (0 2 1), 29.47°, intensity 60; (5 1 -1), 31.94°, intensity 59; (6 0 0), 32.28°, intensity 40; (5 1 0), 29.83°, intensity 36

Atomic structure:
```
data_TbPm8Pb2
_chemical_formula_sum 'Tb2 Pm16 Pb4'
_space_group_name_H-M_alt 'C 1 2/m 1'
_space_group_IT_number 12
_space_group_name_Hall '-C 2y'
_cell_length_a 16.705
_cell_length_b 6.877
_cell_length_c 6.448
_cell_angle_alpha 90.00
_cell_angle_beta 95.08
_cell_angle_gamma 90.00
loop_
_atom_site_label
_atom_site_fract_x
_atom_site_fract_y
_atom_site_fract_z
Tb1 0.000 0.000 0.000
Pm1 0.083 0.500 0.898
Pm2 0.096 0.255 0.400
Pm3 0.208 0.000 0.834
Pb1 0.244 0.500 0.668
```


For Tb2PmPb, a cell relaxed with GGA-PBE gives the simulated PXRD pattern in this record (Cu Kα).
Peak positions follow from Bragg's law for the DFT cell and can differ from measured ones.

The 8 most intense peaks (2θ from 5° to 70°), in order of falling intensity:
(0 1 2), 31.40°, intensity 100; (2 1 -1), 31.89°, intensity 41; (0 2 0), 33.67°, intensity 34; (2 0 1), 32.16°, intensity 20; (0 3 2), 58.81°, intensity 17; (2 2 1), 47.26°, intensity 14; (2 0 -3), 43.37°, intensity 11; (4 1 1), 62.18°, intensity 10

Atomic structure:
```
data_Tb2PmPb
_chemical_formula_sum 'Tb4 Pm2 Pb2'
_space_group_name_H-M_alt 'P 1 21/m 1'
_space_group_IT_number 11
_space_group_name_Hall '-P 2yb'
_cell_length_a 6.880
_cell_length_b 5.323
_cell_length_c 6.908
_cell_angle_alpha 90.00
_cell_angle_beta 102.27
_cell_angle_gamma 90.00
loop_
_atom_site_label
_atom_site_fract_x
_atom_site_fract_y
_atom_site_fract_z
Tb1 0.092 0.250 0.389
Tb2 0.257 0.750 0.126
Pm1 0.422 0.750 0.653
Pb1 0.223 0.250 0.873
```


For Tb6Pm8Pb, a cell relaxed with GGA-PBE gives the simulated PXRD pattern in this record (Cu Kα).
Peak positions follow from Bragg's law for the DFT cell and can differ from measured ones.

The 8 most intense peaks (2θ from 5° to 70°), in order of falling intensity:
(3 -1 1), 32.24°, intensity 100; (1 1 2), 33.21°, intensity 47; (1 2 0), 29.19°, intensity 43; (0 2 1), 25.81°, intensity 23; (2 4 1), 62.29°, intensity 19; (2 3 1), 51.08°, intensity 18; (4 1 0), 51.73°, intensity 18; (1 2 2), 40.17°, intensity 12

Atomic structure:
```
data_Tb6Pm8Pb
_chemical_formula_sum 'Tb6 Pm8 Pb1'
_space_group_name_H-M_alt 'P -3'
_space_group_IT_number 147
_space_group_name_Hall '-P 3'
_cell_length_a 9.3508
_cell_length_b 9.3508
_cell_length_c 6.6041
_cell_angle_alpha 90.00
_cell_angle_beta 90.00
_cell_angle_gamma 120.00
loop_
_atom_site_label
_atom_site_fract_x
_atom_site_fract_y
_atom_site_fract_z
Tb1 0.0960 0.6494 0.1648
Pm1 0.0401 0.7682 0.6774
Pm2 0.3333 0.6667 0.6377
Pb1 0.0000 0.0000 0.0000
```


For Tb6Pm5Pb, a cell relaxed with GGA-PBE gives the simulated PXRD pattern in this record (Cu Kα).
Peak positions follow from Bragg's law for the DFT cell and can differ from measured ones.

The 8 most intense peaks (2θ from 5° to 70°), in order of falling intensity:
(1 2 3), 30.69°, intensity 100; (0 0 6), 35.27°, intensity 17; (0 4 0), 35.44°, intensity 17; (2 0 0), 36.05°, intensity 16; (1 2 9), 60.47°, intensity 14; (1 6 3), 60.71°, intensity 14; (3 2 3), 61.52°, intensity 14; (2 4 6), 63.92°, intensity 12

Atomic structure:
```
data_Tb6Pm5Pb
_chemical_formula_sum 'Tb12 Pm10 Pb2'
_space_group_name_H-M_alt 'I m m m'
_space_group_IT_number 71
_space_group_name_Hall '-I 2 2'
_cell_length_a 4.983
_cell_length_b 10.131
_cell_length_c 15.269
_cell_angle_alpha 90.00
_cell_angle_beta 90.00
_cell_angle_gamma 90.00
loop_
_atom_site_label
_atom_site_fract_x
_atom_site_fract_y
_atom_site_fract_z
Tb1 0.000 0.243 0.000
Tb2 0.000 0.254 0.335
Pm1 0.000 0.000 0.170
Pm2 0.000 0.000 0.500
Pm3 0.000 0.500 0.162
Pb1 0.000 0.500 0.500
```


For Tb5PmPb5, a cell relaxed with GGA-PBE gives the simulated PXRD pattern in this record (Cu Kα).
Peak positions follow from Bragg's law for the DFT cell and can differ from measured ones.

The 8 most intense peaks (2θ from 5° to 70°), in order of falling intensity:
(0 2 0), 28.28°, intensity 100; (2 0 2), 29.41°, intensity 89; (4 0 -2), 29.74°, intensity 85; (4 2 -2), 41.51°, intensity 73; (2 2 2), 41.26°, intensity 73; (6 0 0), 35.03°, intensity 56; (6 2 0), 45.61°, intensity 55; (2 4 2), 66.86°, intensity 35

Atomic structure:
```
data_Tb5PmPb5
_chemical_formula_sum 'Tb10 Pm2 Pb10'
_space_group_name_H-M_alt 'C 1 2/m 1'
_space_group_IT_number 12
_space_group_name_Hall '-C 2y'
_cell_length_a 15.778
_cell_length_b 6.311
_cell_length_c 7.477
_cell_angle_alpha 90.00
_cell_angle_beta 103.05
_cell_angle_gamma 90.00
loop_
_atom_site_label
_atom_site_fract_x
_atom_site_fract_y
_atom_site_fract_z
Tb1 0.000 0.000 0.000
Tb2 0.157 0.500 0.839
Tb3 0.167 0.500 0.341
Pm1 0.000 0.000 0.500
Pb1 0.000 0.500 0.500
Pb2 0.168 0.000 0.842
Pb3 0.169 0.000 0.317
```


For TbPm12Pb7, a cell relaxed with GGA-PBE gives the simulated PXRD pattern in this record (Cu Kα).
Peak positions follow from Bragg's law for the DFT cell and can differ from measured ones.

The 8 most intense peaks (2θ from 5° to 70°), in order of falling intensity:
(3 1 2), 30.84°, intensity 100; (3 3 0), 33.88°, intensity 88; (0 3 3), 35.99°, intensity 78; (4 0 1), 27.81°, intensity 53; (0 7 2), 50.78°, intensity 29; (6 3 3), 61.99°, intensity 26; (0 6 3), 50.25°, intensity 22; (2 0 2), 23.77°, intensity 20

Atomic structure:
```
data_TbPm12Pb7
_chemical_formula_sum 'Tb3 Pm36 Pb21'
_space_group_name_H-M_alt 'R -3 m'
_space_group_IT_number 166
_space_group_name_Hall '-R 3 2"'
_cell_length_a 15.8763
_cell_length_b 15.8763
_cell_length_c 8.9269
_cell_angle_alpha 90.00
_cell_angle_beta 90.00
_cell_angle_gamma 120.00
loop_
_atom_site_label
_atom_site_fract_x
_atom_site_fract_y
_atom_site_fract_z
Tb1 0.0000 0.0000 0.0000
Pm1 0.0000 0.2766 0.0000
Pm2 0.1096 0.5548 0.0517
Pb1 0.0000 0.0000 0.5000
Pb2 0.1015 0.2030 0.7645
```